Li3Mn3CrO8: computed powder diffractogram (λ = 1.5418 Å (Cu Kα)), based on the GGA+U geometry in Alexandria.

Principal peaks in the range 2θ = 10–90°, sorted by position:
2θ/deg, I/Imax
18.7, 78
19.8, 100
20.1, 49
36.5, 58
40.2, 46
45.7, 79

Structure:
Cell lengths 5.9190, 9.9893, 9.5003 Å; angles 90.00, 90.00, 90.00 degrees
Space group Cmc2_1 (No. 36)
One atom of each set of equivalent atoms:
Li: 0.0000 0.1701 0.0000
Li: 0.2441 0.4104 0.9998
Mn: 0.0000 0.1677 0.2699
Mn: 0.2460 0.4170 0.2695
Cr: 0.0000 0.3379 0.5448
O: 0.0000 0.0006 0.8788
O: 0.0000 0.1651 0.6503
O: 0.0000 0.3325 0.1538
O: 0.0000 0.4894 0.4004
O: 0.2219 0.2630 0.3968
O: 0.2384 0.0768 0.1515